(1)
For Ba3Sc3N5, a structure optimized by DFT (GGA-PBE) gives the calculated powder XRD pattern in this record (Cu Kα (λ = 1.5418 Å)).
No peak broadening, texture or thermal motion is included.

Most intense lines, 2θ = 10–80°, sorted by position:
2θ/deg	Rel. int.
19.4	18
26.7	62
28.9	72
29.5	47
29.7	71
30.5	100
33.2	39
36.0	34
43.3	18
55.1	18

```
Ba3Sc3N5
1.0
6.299 0.000 0.000
-1.524 8.229 0.000
-2.216 -3.785 8.438
Ba Sc N
6 6 10
Cartesian
-0.328 1.418 3.276
-0.640 -1.468 6.061
0.059 7.309 0.841
2.501 -2.865 7.597
3.199 5.912 2.377
2.887 3.026 5.162
0.344 3.546 0.753
-0.241 2.104 6.728
0.259 4.887 4.012
2.300 -0.443 4.426
2.800 2.340 1.711
2.215 0.898 7.685
-1.978 1.159 7.564
-0.677 6.688 3.359
1.302 1.716 0.311
-0.738 3.614 5.368
1.431 3.751 2.585
1.128 0.693 5.853
3.298 0.831 3.071
1.258 2.728 8.127
3.236 -2.243 5.080
4.537 3.285 0.875
```

***

(2)
For BaAl4Pd2, a structure optimized by DFT (GGA-PBE) gives the calculated powder XRD pattern in this record (Cu Kα (λ = 1.5418 Å)).
No peak broadening, texture or thermal motion is included.

Most intense lines, 2θ = 10–80°, sorted by position:
2θ/deg	Rel. int.
15.5	25
26.3	62
31.3	65
32.7	100
35.1	26
39.7	23
41.3	75
42.9	30
54.1	27
66.2	29

```
BaAl4Pd2
1.0
8.076 0.000 0.000
0.000 8.076 0.000
0.000 0.000 4.212
Ba Al Pd
2 8 4
Cartesian
0.000 0.000 0.000
4.038 4.038 2.106
0.650 2.780 2.106
1.258 4.688 0.000
2.780 0.650 2.106
3.388 6.817 0.000
4.688 1.258 0.000
5.296 7.426 2.106
6.817 3.388 0.000
7.426 5.296 2.106
1.809 6.267 2.106
2.229 2.229 0.000
5.847 5.847 0.000
6.267 1.809 2.106
```

***

(3)
For LaGaS3, a structure optimized by DFT (GGA-PBE) gives the calculated powder XRD pattern in this record (Cu Kα (λ = 1.5418 Å)).
No peak broadening, texture or thermal motion is included.

Most intense lines, 2θ = 10–80°, sorted by position:
2θ/deg	Rel. int.
18.7	25
24.1	32
24.8	20
25.4	100
29.3	28
34.2	23
35.0	26
36.7	17
38.3	22
47.6	19

```
LaGaS3
1.0
10.503 0.000 0.000
0.000 22.174 0.000
0.000 0.000 6.098
La Ga S
12 12 36
Cartesian
0.223 5.379 0.000
2.114 12.369 3.129
2.568 20.376 3.116
2.683 9.289 0.067
3.137 1.282 0.080
5.028 16.466 3.049
5.474 5.708 0.000
7.366 20.893 3.129
7.820 12.886 3.116
7.935 1.798 0.067
8.389 9.806 0.080
10.280 16.795 3.049
0.253 8.271 2.763
0.271 2.100 3.775
2.410 5.121 3.010
2.842 16.208 6.059
4.981 13.187 0.726
4.998 19.358 5.812
5.504 2.816 2.763
5.522 8.987 3.775
7.661 5.966 3.010
8.093 17.054 6.059
10.232 20.074 0.726
10.250 13.904 5.812
0.132 8.220 4.993
0.268 4.317 3.002
0.337 2.417 6.082
0.373 10.282 1.703
1.511 14.956 4.692
1.818 20.883 0.262
1.962 7.036 1.752
2.239 1.064 3.277
2.408 16.938 2.012
2.844 5.851 5.061
3.013 12.151 0.228
3.289 18.123 4.801
3.434 9.796 3.311
3.741 3.868 1.643
4.878 21.369 4.753
4.915 13.504 3.033
4.983 15.404 6.051
5.119 19.307 1.943
5.383 2.867 4.993
5.520 6.770 3.002
5.588 8.670 6.082
5.624 0.806 1.703
6.762 18.306 4.692
7.069 12.378 0.262
7.214 4.051 1.752
7.490 10.023 3.277
7.659 16.324 2.012
8.095 5.237 5.061
8.264 21.111 0.228
8.541 15.139 4.801
8.685 1.291 3.311
8.992 7.219 1.643
10.130 11.893 4.753
10.166 19.757 3.033
10.235 17.857 6.051
10.371 13.954 1.943
```

***

(4)
For LiMnCuPt, a structure optimized by DFT (GGA-PBE) gives the calculated powder XRD pattern in this record (Cu Kα (λ = 1.5418 Å)).
No peak broadening, texture or thermal motion is included.

Most intense lines, 2θ = 10–80°, sorted by position:
2θ/deg	Rel. int.
25.6	43
29.7	50
42.5	100
50.3	21
52.7	14
61.6	16
67.9	9
69.9	18
77.7	32

```
LiMnCuPt
1.0
0.000 3.010 3.010
3.010 0.000 3.010
3.010 3.010 0.000
Li Mn Cu Pt
1 1 1 1
Cartesian
0.000 0.000 0.000
3.010 3.010 3.010
1.505 1.505 1.505
4.515 4.515 4.515
```